Theoretical powder X-ray diffraction pattern of Pm2TiSe5 for copper Kα, from the GGA-PBE geometry in Alexandria.
Peak positions follow from Bragg's law for the DFT cell and can differ from measured ones.

Peak list (12 most intense, 10° ≤ 2θ ≤ 90°, most intense first)
| d_spacing | two_theta | I (rel.) |
| --- | --- | --- |
| 3.245 | 27.49 | 100 |
| 2.621 | 34.22 | 97 |
| 4.327 | 20.52 | 89 |
| 2.444 | 36.78 | 85 |
| 2.347 | 38.35 | 69 |
| 2.311 | 38.97 | 64 |
| 2.718 | 32.96 | 62 |
| 6.754 | 13.11 | 59 |
| 2.452 | 36.64 | 51 |
| 2.251 | 40.05 | 42 |
| 2.328 | 38.67 | 42 |
| 4.657 | 19.06 | 35 |

Crystal structure
```
16
Lattice="10.509 0.000 0.000 0.000 9.810 0.000 -2.264 0.000 4.331" Properties=species:S:1:pos:R:3 pbc="T T T"
Pm 0.000 2.024 0.000
Pm 0.000 7.786 0.000
Pm 5.255 2.881 0.000
Pm 5.255 6.928 0.000
Ti 0.734 0.000 3.009
Ti 5.988 4.905 3.009
Se 0.386 2.589 2.973
Se 0.386 7.220 2.973
Se 1.910 0.000 0.944
Se 3.533 4.905 1.867
Se 2.877 0.000 4.306
Se 5.640 2.316 2.973
Se 5.640 7.494 2.973
Se 7.165 4.905 0.944
Se 8.788 0.000 1.867
Se 8.132 4.905 4.306
```

=====

Theoretical powder X-ray diffraction pattern of PmTi4Se8 for copper Kα, from the GGA-PBE geometry in Alexandria.
Peak positions follow from Bragg's law for the DFT cell and can differ from measured ones.

Peak list (12 most intense, 10° ≤ 2θ ≤ 90°, most intense first)
| d_spacing | two_theta | I (rel.) |
| --- | --- | --- |
| 2.686 | 33.36 | 100 |
| 1.996 | 45.43 | 37 |
| 1.815 | 50.27 | 31 |
| 1.504 | 61.68 | 16 |
| 5.371 | 16.50 | 14 |
| 1.158 | 83.49 | 13 |
| 6.015 | 14.73 | 13 |
| 3.007 | 29.71 | 13 |
| 1.249 | 76.19 | 13 |
| 3.451 | 25.82 | 11 |
| 6.892 | 12.85 | 10 |
| 1.343 | 70.07 | 10 |

Crystal structure
```
13
Lattice="3.630 2.096 6.892 -3.630 2.096 6.892 0.000 -4.191 6.892" Properties=species:S:1:pos:R:3 pbc="T T T"
Pm 0.000 0.000 0.000
Ti -3.630 0.000 10.337
Ti -1.815 1.048 3.446
Ti 1.815 1.048 3.446
Ti 0.000 0.000 10.337
Se 0.000 0.000 4.942
Se -1.763 -1.018 11.883
Se 0.000 -2.036 8.792
Se -1.763 1.018 8.792
Se 1.763 -1.018 11.883
Se 0.000 2.036 11.883
Se 1.763 1.018 8.792
Se 0.000 0.000 15.733
```

=====

Theoretical powder X-ray diffraction pattern of Pm6TlSe4 for copper Kα, from the GGA-PBE geometry in Alexandria.
Peak positions follow from Bragg's law for the DFT cell and can differ from measured ones.

Peak list (12 most intense, 10° ≤ 2θ ≤ 90°, most intense first)
| d_spacing | two_theta | I (rel.) |
| --- | --- | --- |
| 2.986 | 29.92 | 100 |
| 3.177 | 28.09 | 71 |
| 2.132 | 42.39 | 46 |
| 3.078 | 29.01 | 40 |
| 2.043 | 44.33 | 33 |
| 2.851 | 31.38 | 31 |
| 2.089 | 43.30 | 31 |
| 2.224 | 40.56 | 28 |
| 1.746 | 52.42 | 26 |
| 3.205 | 27.83 | 22 |
| 1.493 | 62.16 | 16 |
| 1.347 | 69.82 | 15 |

Crystal structure
```
22
Lattice="2.089 -6.984 0.000 2.089 6.984 0.000 0.000 0.000 21.402" Properties=species:S:1:pos:R:3 pbc="T T T"
Pm 0.000 0.000 0.000
Pm 0.000 0.000 10.701
Pm 2.089 4.723 16.051
Pm 2.089 3.175 1.798
Pm 2.089 3.175 8.903
Pm 2.089 0.614 14.171
Pm 2.089 0.614 17.932
Pm 2.089 -0.614 3.470
Pm 2.089 -0.614 7.231
Pm 2.089 -3.175 12.499
Pm 2.089 -3.175 19.604
Pm 2.089 -4.723 5.350
Tl 2.089 4.672 5.350
Tl 2.089 -4.672 16.051
Se 2.089 5.711 13.343
Se 2.089 5.711 18.760
Se 2.089 1.922 11.566
Se 2.089 1.922 20.537
Se 2.089 -1.922 0.865
Se 2.089 -1.922 9.836
Se 2.089 -5.711 2.642
Se 2.089 -5.711 8.059
```

=====

Theoretical powder X-ray diffraction pattern of PmTlSe4 for copper Kα, from the GGA-PBE geometry in Alexandria.
Peak positions follow from Bragg's law for the DFT cell and can differ from measured ones.

Peak list (12 most intense, 10° ≤ 2θ ≤ 90°, most intense first)
| d_spacing | two_theta | I (rel.) |
| --- | --- | --- |
| 3.075 | 29.04 | 100 |
| 2.537 | 35.38 | 39 |
| 2.008 | 45.16 | 37 |
| 2.691 | 33.29 | 34 |
| 4.489 | 19.78 | 24 |
| 3.174 | 28.11 | 23 |
| 1.486 | 62.52 | 20 |
| 1.455 | 64.01 | 19 |
| 1.982 | 45.78 | 15 |
| 1.410 | 66.27 | 13 |
| 2.245 | 40.18 | 12 |
| 2.111 | 42.85 | 11 |

Crystal structure
```
12
Lattice="6.349 0.000 0.000 0.000 6.349 0.000 0.000 0.000 8.443" Properties=species:S:1:pos:R:3 pbc="T T T"
Pm 1.587 1.587 0.000
Pm 4.762 4.762 0.000
Tl 1.587 1.587 4.221
Tl 4.762 4.762 4.221
Se 0.729 3.903 1.792
Se 0.729 5.620 6.651
Se 2.445 3.903 6.651
Se 2.445 5.620 1.792
Se 3.903 0.729 6.651
Se 3.903 2.445 1.792
Se 5.620 0.729 1.792
Se 5.620 2.445 6.651
```

=====

Theoretical powder X-ray diffraction pattern of Pm2Tl3ZnSe6 for copper Kα, from the GGA-PBE geometry in Alexandria.
Peak positions follow from Bragg's law for the DFT cell and can differ from measured ones.

Peak list (12 most intense, 10° ≤ 2θ ≤ 90°, most intense first)
| d_spacing | two_theta | I (rel.) |
| --- | --- | --- |
| 3.042 | 29.36 | 100 |
| 3.085 | 28.94 | 54 |
| 2.229 | 40.48 | 38 |
| 2.109 | 42.89 | 37 |
| 1.733 | 52.81 | 28 |
| 3.467 | 25.70 | 26 |
| 2.209 | 40.84 | 18 |
| 2.097 | 43.13 | 17 |
| 3.737 | 23.81 | 13 |
| 1.521 | 60.90 | 10 |
| 1.869 | 48.73 | 9 |
| 1.407 | 66.42 | 9 |

Crystal structure
```
12
Lattice="3.659 -6.292 0.000 3.659 6.292 0.000 -2.550 0.000 7.475" Properties=species:S:1:pos:R:3 pbc="T T T"
Pm 3.659 4.223 0.000
Pm 3.659 -4.223 0.000
Tl -1.275 0.000 3.737
Tl 2.384 2.188 3.737
Tl 2.384 -2.188 3.737
Zn 3.659 0.000 0.000
Se -0.007 1.941 5.965
Se 1.238 0.000 1.665
Se -0.007 -1.941 5.965
Se 4.775 1.941 1.510
Se 3.530 0.000 5.810
Se 4.775 -1.941 1.510
```

=====

Theoretical powder X-ray diffraction pattern of PmTm3Se4 for copper Kα, from the GGA-PBE geometry in Alexandria.
Peak positions follow from Bragg's law for the DFT cell and can differ from measured ones.

Peak list (12 most intense, 10° ≤ 2θ ≤ 90°, most intense first)
| d_spacing | two_theta | I (rel.) |
| --- | --- | --- |
| 2.873 | 31.13 | 100 |
| 2.031 | 44.60 | 49 |
| 1.285 | 73.74 | 22 |
| 1.678 | 54.70 | 13 |
| 2.067 | 43.80 | 13 |
| 1.640 | 56.09 | 13 |
| 1.436 | 64.92 | 12 |
| 1.997 | 45.43 | 12 |
| 3.356 | 26.56 | 12 |
| 3.279 | 27.19 | 11 |
| 1.186 | 81.06 | 8 |
| 1.159 | 83.36 | 8 |

Crystal structure
```
16
Lattice="8.267 0.000 0.000 0.000 11.495 0.000 0.000 0.000 3.993" Properties=species:S:1:pos:R:3 pbc="T T T"
Pm 0.000 0.000 0.000
Pm 4.134 5.748 0.000
Tm 0.000 5.748 0.000
Tm 2.067 2.874 1.997
Tm 2.067 8.622 1.997
Tm 4.134 0.000 0.000
Tm 6.200 2.874 1.997
Tm 6.200 8.622 1.997
Se 0.000 2.937 0.000
Se 0.000 8.559 0.000
Se 1.975 5.748 1.997
Se 2.159 0.000 1.997
Se 4.134 2.811 0.000
Se 4.134 8.684 0.000
Se 6.108 0.000 1.997
Se 6.292 5.748 1.997
```

=====

Theoretical powder X-ray diffraction pattern of PmTm3Se4 for copper Kα, from the GGA-PBE geometry in Alexandria.
Peak positions follow from Bragg's law for the DFT cell and can differ from measured ones.

Peak list (10 most intense, 10° ≤ 2θ ≤ 90°, most intense first)
| d_spacing | two_theta | I (rel.) |
| --- | --- | --- |
| 2.876 | 31.09 | 100 |
| 2.034 | 44.55 | 74 |
| 1.286 | 73.64 | 33 |
| 1.661 | 55.32 | 26 |
| 1.174 | 82.07 | 25 |
| 3.321 | 26.84 | 22 |
| 1.438 | 64.83 | 12 |
| 1.734 | 52.78 | 11 |
| 1.320 | 71.49 | 4 |
| 1.107 | 88.27 | 4 |

Crystal structure
```
8
Lattice="5.752 0.000 0.000 0.000 5.752 0.000 0.000 0.000 5.752" Properties=species:S:1:pos:R:3 pbc="T T T"
Pm 0.000 0.000 0.000
Tm 0.000 2.876 2.876
Tm 2.876 0.000 2.876
Tm 2.876 2.876 0.000
Se 0.000 0.000 2.876
Se 0.000 2.876 0.000
Se 2.876 0.000 0.000
Se 2.876 2.876 2.876
```

=====

Theoretical powder X-ray diffraction pattern of PmYTm2Se6 for copper Kα, from the GGA-PBE geometry in Alexandria.
Peak positions follow from Bragg's law for the DFT cell and can differ from measured ones.

Peak list (12 most intense, 10° ≤ 2θ ≤ 90°, most intense first)
| d_spacing | two_theta | I (rel.) |
| --- | --- | --- |
| 2.406 | 37.37 | 100 |
| 3.150 | 28.34 | 67 |
| 2.083 | 43.45 | 64 |
| 3.829 | 23.23 | 55 |
| 5.251 | 16.88 | 50 |
| 2.626 | 34.15 | 40 |
| 3.608 | 24.68 | 34 |
| 2.123 | 42.59 | 34 |
| 1.850 | 49.25 | 32 |
| 1.575 | 58.62 | 25 |
| 1.256 | 75.71 | 21 |
| 1.292 | 73.27 | 13 |

Crystal structure
```
10
Lattice="3.608 2.083 6.460 -3.608 2.083 6.460 0.000 -4.166 6.460" Properties=species:S:1:pos:R:3 pbc="T T T"
Pm 0.000 0.000 0.000
Y 0.000 0.000 9.619
Tm 0.000 0.000 5.810
Tm 0.000 0.000 15.544
Se -2.169 -0.128 7.678
Se -1.393 -2.143 10.900
Se 1.196 -1.814 7.678
Se -1.160 2.278 10.900
Se 0.973 1.943 7.678
Se 2.552 -0.134 10.900
```

=====

Theoretical powder X-ray diffraction pattern of PmUSe for copper Kα, from the GGA-PBE geometry in Alexandria.
Peak positions follow from Bragg's law for the DFT cell and can differ from measured ones.

Peak list (12 most intense, 10° ≤ 2θ ≤ 90°, most intense first)
| d_spacing | two_theta | I (rel.) |
| --- | --- | --- |
| 2.931 | 30.50 | 100 |
| 2.346 | 38.37 | 94 |
| 2.735 | 32.74 | 93 |
| 2.044 | 44.32 | 64 |
| 2.834 | 31.57 | 64 |
| 2.757 | 32.48 | 57 |
| 3.322 | 26.83 | 46 |
| 3.959 | 22.45 | 43 |
| 2.705 | 33.12 | 42 |
| 1.599 | 57.66 | 40 |
| 1.663 | 55.23 | 33 |
| 1.442 | 64.63 | 27 |

Crystal structure
```
12
Lattice="3.394 0.000 0.000 0.000 5.810 0.000 0.000 0.000 16.231" Properties=species:S:1:pos:R:3 pbc="T T T"
Pm 0.000 1.448 0.000
Pm 0.000 4.362 0.000
Pm 1.697 1.457 8.115
Pm 1.697 4.353 8.115
U 0.000 2.905 3.097
U 0.000 2.905 13.134
U 1.697 0.000 5.018
U 1.697 0.000 11.212
Se 0.000 2.905 5.943
Se 0.000 2.905 10.287
Se 1.697 0.000 2.172
Se 1.697 0.000 14.059
```

=====

Theoretical powder X-ray diffraction pattern of Pm5Y3Se8 for copper Kα, from the GGA-PBE geometry in Alexandria.
Peak positions follow from Bragg's law for the DFT cell and can differ from measured ones.

Peak list (12 most intense, 10° ≤ 2θ ≤ 90°, most intense first)
| d_spacing | two_theta | I (rel.) |
| --- | --- | --- |
| 2.940 | 30.41 | 100 |
| 2.084 | 43.43 | 37 |
| 2.074 | 43.65 | 37 |
| 1.694 | 54.13 | 19 |
| 1.317 | 71.64 | 16 |
| 1.312 | 71.97 | 16 |
| 1.199 | 80.02 | 12 |
| 1.470 | 63.27 | 12 |
| 3.389 | 26.30 | 7 |
| 1.706 | 53.74 | 6 |
| 1.197 | 80.17 | 6 |
| 1.205 | 79.54 | 6 |

Crystal structure
```
16
Lattice="4.147 2.394 6.822 -4.147 2.394 6.822 0.000 -4.789 6.822" Properties=species:S:1:pos:R:3 pbc="T T T"
Pm 0.000 0.000 0.000
Pm -2.074 -1.197 6.822
Pm -2.074 1.197 13.645
Pm 0.000 2.394 6.822
Pm 0.000 0.000 10.234
Y -4.147 0.000 10.234
Y -2.074 1.197 3.411
Y 2.074 1.197 3.411
Se -2.103 -1.214 11.889
Se 0.000 0.000 5.044
Se 0.000 -2.429 8.578
Se -2.103 1.214 8.578
Se 2.103 -1.214 11.889
Se 0.000 2.429 11.889
Se 0.000 0.000 15.423
Se 2.103 1.214 8.578
```

=====

Theoretical powder X-ray diffraction pattern of Pm6YSe8 for copper Kα, from the GGA-PBE geometry in Alexandria.
Peak positions follow from Bragg's law for the DFT cell and can differ from measured ones.

Peak list (12 most intense, 10° ≤ 2θ ≤ 90°, most intense first)
| d_spacing | two_theta | I (rel.) |
| --- | --- | --- |
| 2.954 | 30.25 | 100 |
| 2.089 | 43.32 | 74 |
| 1.321 | 71.40 | 33 |
| 1.706 | 53.74 | 26 |
| 1.206 | 79.47 | 25 |
| 1.477 | 62.92 | 12 |
| 5.908 | 14.99 | 8 |
| 3.411 | 26.12 | 8 |
| 4.178 | 21.27 | 8 |
| 2.642 | 33.93 | 5 |
| 1.781 | 51.29 | 4 |
| 6.822 | 12.98 | 4 |

Crystal structure
```
15
Lattice="0.000 5.908 5.908 5.908 0.000 5.908 5.908 5.908 0.000" Properties=species:S:1:pos:R:3 pbc="T T T"
Pm 2.954 2.954 0.000
Pm 2.954 0.000 2.954
Pm 5.908 2.954 2.954
Pm 0.000 2.954 2.954
Pm 2.954 5.908 2.954
Pm 2.954 2.954 5.908
Y 0.000 0.000 0.000
Se 5.908 5.908 2.931
Se 5.908 2.931 5.908
Se 8.885 5.908 5.908
Se 2.954 2.954 2.954
Se 8.862 8.862 8.862
Se 2.931 5.908 5.908
Se 5.908 8.885 5.908
Se 5.908 5.908 8.885
```

=====

Theoretical powder X-ray diffraction pattern of Pm3Y2Se6 for copper Kα, from the GGA-PBE geometry in Alexandria.
Peak positions follow from Bragg's law for the DFT cell and can differ from measured ones.

Peak list (12 most intense, 10° ≤ 2θ ≤ 90°, most intense first)
| d_spacing | two_theta | I (rel.) |
| --- | --- | --- |
| 3.035 | 29.43 | 100 |
| 2.086 | 43.39 | 44 |
| 2.035 | 44.52 | 27 |
| 2.792 | 32.06 | 27 |
| 2.213 | 40.78 | 19 |
| 1.719 | 53.29 | 19 |
| 1.323 | 71.30 | 17 |
| 1.326 | 71.07 | 16 |
| 1.194 | 80.41 | 10 |
| 1.457 | 63.91 | 9 |
| 1.204 | 79.62 | 7 |
| 3.517 | 25.32 | 7 |

Crystal structure
```
11
Lattice="2.086 1.204 20.530 -2.086 1.204 20.530 0.000 -2.408 20.530" Properties=species:S:1:pos:R:3 pbc="T T T"
Pm 0.000 0.000 0.000
Pm 0.000 0.000 17.130
Pm 0.000 0.000 44.459
Y 0.000 0.000 27.587
Y 0.000 0.000 34.002
Se 0.000 0.000 5.211
Se 0.000 0.000 12.100
Se 0.000 0.000 22.251
Se 0.000 0.000 39.338
Se 0.000 0.000 49.489
Se 0.000 0.000 56.378
```

=====

Theoretical powder X-ray diffraction pattern of Pm2Y3Se6 for copper Kα, from the GGA-PBE geometry in Alexandria.
Peak positions follow from Bragg's law for the DFT cell and can differ from measured ones.

Peak list (12 most intense, 10° ≤ 2θ ≤ 90°, most intense first)
| d_spacing | two_theta | I (rel.) |
| --- | --- | --- |
| 2.910 | 30.72 | 100 |
| 2.059 | 43.98 | 61 |
| 1.301 | 72.65 | 16 |
| 1.683 | 54.52 | 13 |
| 1.677 | 54.73 | 13 |
| 1.190 | 80.78 | 12 |
| 2.051 | 44.15 | 12 |
| 1.303 | 72.55 | 11 |
| 1.186 | 81.12 | 8 |
| 1.454 | 64.03 | 8 |
| 5.906 | 15.00 | 7 |
| 5.266 | 16.84 | 6 |

Crystal structure
```
11
Lattice="3.569 -6.153 0.000 3.569 6.153 0.000 -2.373 0.000 6.733" Properties=species:S:1:pos:R:3 pbc="T T T"
Pm 3.569 4.122 0.000
Pm 3.569 -4.122 0.000
Y -1.187 0.000 3.366
Y 2.382 2.038 3.366
Y 2.382 -2.038 3.366
Se 0.025 2.018 5.012
Se 1.244 0.000 1.699
Se 0.025 -2.018 5.012
Se 4.739 2.018 1.720
Se 3.521 0.000 5.033
Se 4.739 -2.018 1.720
```